Starting from a DFT-relaxed cell (PBE, the Materials Project), the X-ray powder pattern of Li4La5Ti6Nb2O26 was computed for Cu Ka.
Kinematic intensities with the Lorentz-polarization factor, no thermal factor.

The 10 most intense peaks (2θ = 5–70°), by intensity:
33.1 deg, rel. 100.0, (1 9 1)
10.5 deg, rel. 83.9, (0 4 0)
32.1 deg, rel. 75.7, (2 0 0)
26.2 deg, rel. 65.0, (1 5 1)
46.1 deg, rel. 62.3, (2 0 2)
29.3 deg, rel. 55.4, (1 7 1)
57.9 deg, rel. 41.0, (3 9 1)
5.3 deg, rel. 26.0, (0 2 0)
38.8 deg, rel. 23.9, (2 8 0)
64.9 deg, rel. 23.8, (2 16 2)

Atomic structure:
a b c (Å): 5.5692 33.5734 5.5745
angles (deg): 90.00 90.00 90.00
Space group Cmmm (No. 65)
Asymmetric unit:
Li  0.2500  0.2500  0.2396 (multiplicity 8)
La  0.0000  0.0000  0.0000 (multiplicity 2)
La  0.0000  0.1182  0.0000 (multiplicity 4)
La  0.0000  0.3821  0.5000 (multiplicity 4)
Ti  0.0000  0.0574  0.5000 (multiplicity 4)
Ti  0.0000  0.3191  0.0000 (multiplicity 4)
Ti  0.0000  0.4420  0.0000 (multiplicity 4)
Nb  0.0000  0.1814  0.5000 (multiplicity 4)
O  0.0000  0.0000  0.5000 (multiplicity 2)
O  0.0000  0.1166  0.5000 (multiplicity 4)
O  0.0000  0.2373  0.5000 (multiplicity 4)
O  0.0000  0.2654  0.0000 (multiplicity 4)
O  0.0000  0.3834  0.0000 (multiplicity 4)
O  0.0000  0.5000  0.0000 (multiplicity 2)
O  0.2400  0.0617  0.2409 (multiplicity 16)
O  0.2478  0.3287  0.2491 (multiplicity 16)

***

Starting from a DFT-relaxed cell (PBE, the Materials Project), the X-ray powder pattern of Li3La5Ti6Nb2O26 was computed for Cu Ka.
Kinematic intensities with the Lorentz-polarization factor, no thermal factor.

The 10 most intense peaks (2θ = 5–70°), by intensity:
10.4 deg, rel. 100.0, (0 0 2)
32.4 deg, rel. 84.3, (0 2 0)
46.4 deg, rel. 67.9, (2 2 -1)
29.3 deg, rel. 61.4, (1 1 -4)
32.9 deg, rel. 59.8, (1 1 4)
33.0 deg, rel. 56.1, (1 1 -5)
5.2 deg, rel. 41.7, (0 0 1)
26.2 deg, rel. 40.2, (1 1 2)
26.3 deg, rel. 38.3, (1 1 -3)
58.0 deg, rel. 23.6, (3 1 3)

Atomic structure:
a b c (Å): 5.5313 5.5336 17.2570
angles (deg): 90.00 99.00 90.00
Space group P2 (No. 3)
Asymmetric unit:
Li  0.0000  0.0000  0.0000 (multiplicity 1)
Li  0.0000  0.4836  0.0000 (multiplicity 1)
Li  0.5000  0.4697  0.0000 (multiplicity 1)
La  0.1155  0.7396  0.7354 (multiplicity 2)
La  0.3820  0.2431  0.2658 (multiplicity 2)
La  0.5000  0.2420  0.5000 (multiplicity 1)
Ti  0.0576  0.2408  0.6145 (multiplicity 2)
Ti  0.1798  0.2406  0.8616 (multiplicity 2)
Ti  0.4426  0.7412  0.3863 (multiplicity 2)
Nb  0.3228  0.7439  0.1370 (multiplicity 2)
O  0.0000  0.2407  0.5000 (multiplicity 1)
O  0.0798  0.9921  0.1602 (multiplicity 2)
O  0.0811  0.4922  0.1632 (multiplicity 2)
O  0.1119  0.2435  0.7290 (multiplicity 2)
O  0.1993  0.0002  0.3789 (multiplicity 2)
O  0.2007  0.4811  0.3800 (multiplicity 2)
O  0.2199  0.2503  0.9642 (multiplicity 2)
O  0.2553  0.7285  0.0296 (multiplicity 2)
O  0.3212  0.0009  0.6208 (multiplicity 2)
O  0.3211  0.4814  0.6209 (multiplicity 2)
O  0.3840  0.7391  0.2703 (multiplicity 2)
O  0.4141  0.9917  0.8360 (multiplicity 2)
O  0.4168  0.4904  0.8397 (multiplicity 2)
O  0.5000  0.7413  0.5000 (multiplicity 1)

***

Starting from a DFT-relaxed cell (PBE, the Materials Project), the X-ray powder pattern of Li5La4TiNb7O28 was computed for Cu Ka.
Kinematic intensities with the Lorentz-polarization factor, no thermal factor.

The 10 most intense peaks (2θ = 5–70°), by intensity:
26.6 deg, rel. 100.0, (1 1 -3)
9.3 deg, rel. 97.8, (0 0 2)
32.7 deg, rel. 52.0, (1 1 5)
32.0 deg, rel. 38.6, (2 0 0)
45.9 deg, rel. 29.9, (2 2 0)
53.8 deg, rel. 27.1, (1 3 -3)
50.4 deg, rel. 16.8, (2 0 8)
37.9 deg, rel. 16.2, (0 0 8)
57.5 deg, rel. 14.0, (3 1 -5)
33.4 deg, rel. 12.1, (0 2 2)

Atomic structure:
a b c (Å): 5.5917 5.5949 19.0061
angles (deg): 89.89 89.95 89.97
Space group P1 (No. 1)
Asymmetric unit:
Li  0.0000  0.0000  0.0000 (multiplicity 1)
Li  0.0016  0.5044  0.4986 (multiplicity 1)
Li  0.0047  0.9982  0.5113 (multiplicity 1)
Li  0.4920  0.5115  0.4860 (multiplicity 1)
Li  0.4972  0.5028  0.0236 (multiplicity 1)
La  0.2343  0.7649  0.7577 (multiplicity 1)
La  0.2585  0.2661  0.2614 (multiplicity 1)
La  0.7353  0.7392  0.2615 (multiplicity 1)
La  0.7637  0.2380  0.7578 (multiplicity 1)
Ti  0.2442  0.7534  0.3736 (multiplicity 1)
Nb  0.2450  0.7559  0.1394 (multiplicity 1)
Nb  0.2525  0.2547  0.6382 (multiplicity 1)
Nb  0.2532  0.2551  0.8770 (multiplicity 1)
Nb  0.7449  0.7472  0.8770 (multiplicity 1)
Nb  0.7457  0.7486  0.6382 (multiplicity 1)
Nb  0.7488  0.2459  0.3740 (multiplicity 1)
Nb  0.7528  0.2476  0.1378 (multiplicity 1)
O  0.9998  0.0011  0.6351 (multiplicity 1)
O  0.0002  0.5012  0.3523 (multiplicity 1)
O  0.9995  0.9994  0.3424 (multiplicity 1)
O  0.1922  0.1957  0.7549 (multiplicity 1)
O  0.2057  0.7586  0.4663 (multiplicity 1)
O  0.2194  0.7814  0.0444 (multiplicity 1)
O  0.2630  0.2994  0.5432 (multiplicity 1)
O  0.2811  0.2829  0.9703 (multiplicity 1)
O  0.3049  0.6942  0.2571 (multiplicity 1)
O  0.4974  0.9986  0.3539 (multiplicity 1)
O  0.4978  0.5015  0.3770 (multiplicity 1)
O  0.4991  0.0015  0.6603 (multiplicity 1)
O  0.4991  0.0012  0.8503 (multiplicity 1)
O  0.4991  0.5013  0.8404 (multiplicity 1)
O  0.4991  0.5016  0.6732 (multiplicity 1)
O  0.4998  0.0020  0.1625 (multiplicity 1)
O  0.5000  0.5006  0.1344 (multiplicity 1)
O  0.6961  0.3049  0.2586 (multiplicity 1)
O  0.7169  0.7192  0.9703 (multiplicity 1)
O  0.7363  0.7050  0.5432 (multiplicity 1)
O  0.7799  0.2207  0.0431 (multiplicity 1)
O  0.7941  0.2422  0.4710 (multiplicity 1)
O  0.8058  0.8071  0.7549 (multiplicity 1)
O  0.9985  0.5008  0.1623 (multiplicity 1)
O  0.9990  0.0011  0.8758 (multiplicity 1)
O  0.9988  0.0017  0.1734 (multiplicity 1)
O  0.9991  0.5012  0.8506 (multiplicity 1)
O  0.9991  0.5015  0.6621 (multiplicity 1)

***

Starting from a DFT-relaxed cell (PBE, the Materials Project), the X-ray powder pattern of LiLaNdSbO6 was computed for Cu Ka.
Kinematic intensities with the Lorentz-polarization factor, no thermal factor.

The 10 most intense peaks (2θ = 5–70°), by intensity:
31.4 deg, rel. 100.0, (1 1 -2)
45.1 deg, rel. 50.8, (0 0 4)
31.3 deg, rel. 50.6, (1 1 2)
31.5 deg, rel. 49.2, (-1 1 2)
31.9 deg, rel. 47.3, (2 0 0)
18.9 deg, rel. 42.8, (0 1 1)
30.9 deg, rel. 41.7, (0 2 0)
56.5 deg, rel. 35.5, (2 0 -4)
22.1 deg, rel. 29.2, (0 0 2)
19.3 deg, rel. 28.5, (1 0 -1)

Atomic structure:
a b c (Å): 5.6150 5.7933 8.0445
angles (deg): 89.98 89.65 89.61
Space group P-1 (No. 2)
Asymmetric unit:
Li  0.0000  0.0000  0.0000 (multiplicity 1)
Li  0.5000  0.5000  0.5000 (multiplicity 1)
La  0.0145  0.4488  0.7513 (multiplicity 2)
Nd  0.4846  0.9453  0.7490 (multiplicity 2)
Sb  0.0000  0.0000  0.5000 (multiplicity 1)
Sb  0.5000  0.5000  0.0000 (multiplicity 1)
O  0.1061  0.9696  0.2618 (multiplicity 2)
O  0.1927  0.7158  0.5564 (multiplicity 2)
O  0.2126  0.6954  0.9515 (multiplicity 2)
O  0.2860  0.1913  0.5532 (multiplicity 2)
O  0.3138  0.2143  0.9427 (multiplicity 2)
O  0.4031  0.4606  0.2390 (multiplicity 2)

***

Starting from a DFT-relaxed cell (PBE, the Materials Project), the X-ray powder pattern of Li2La3NdSb2O12 was computed for Cu Ka.
Kinematic intensities with the Lorentz-polarization factor, no thermal factor.

The 10 most intense peaks (2θ = 5–70°), by intensity:
31.2 deg, rel. 100.0, (1 1 -2)
31.4 deg, rel. 98.6, (1 1 2)
44.9 deg, rel. 51.8, (0 0 4)
31.7 deg, rel. 46.5, (2 0 0)
30.9 deg, rel. 43.0, (0 2 0)
18.9 deg, rel. 42.3, (0 1 1)
22.0 deg, rel. 39.7, (0 0 2)
19.2 deg, rel. 27.6, (1 0 1)
37.1 deg, rel. 25.1, (-2 1 1)
56.0 deg, rel. 23.7, (3 1 -2)

Atomic structure:
a b c (Å): 5.6510 5.7850 8.0721
angles (deg): 90.01 90.38 90.16
Space group P1 (No. 1)
Asymmetric unit:
Li  0.0000  0.0000  0.0000 (multiplicity 1)
Li  0.4982  0.4990  0.5027 (multiplicity 1)
La  0.0129  0.5459  0.2501 (multiplicity 1)
La  0.4863  0.0439  0.2521 (multiplicity 1)
La  0.9862  0.4541  0.7527 (multiplicity 1)
Nd  0.5156  0.9468  0.7494 (multiplicity 1)
Sb  0.0003  0.0004  0.5031 (multiplicity 1)
Sb  0.4978  0.4996  0.9997 (multiplicity 1)
O  0.1049  0.0326  0.7407 (multiplicity 1)
O  0.1914  0.2845  0.4480 (multiplicity 1)
O  0.2131  0.3039  0.0498 (multiplicity 1)
O  0.2823  0.8033  0.4539 (multiplicity 1)
O  0.3049  0.7820  0.0543 (multiplicity 1)
O  0.4019  0.5372  0.7615 (multiplicity 1)
O  0.5960  0.4679  0.2393 (multiplicity 1)
O  0.6886  0.2156  0.9450 (multiplicity 1)
O  0.7153  0.1950  0.5543 (multiplicity 1)
O  0.7794  0.7000  0.9504 (multiplicity 1)
O  0.8017  0.7207  0.5582 (multiplicity 1)
O  0.9028  0.9686  0.2638 (multiplicity 1)

***

Starting from a DFT-relaxed cell (PBE, the Materials Project), the X-ray powder pattern of LiLaO2 was computed for Cu Ka.
Kinematic intensities with the Lorentz-polarization factor, no thermal factor.

The 10 most intense peaks (2θ = 5–70°), by intensity:
21.1 deg, rel. 100.0, (1 1 0)
20.6 deg, rel. 86.0, (1 1 -1)
29.9 deg, rel. 51.7, (0 0 2)
32.5 deg, rel. 51.6, (0 2 1)
39.5 deg, rel. 41.8, (2 2 -1)
30.2 deg, rel. 31.6, (1 1 1)
29.3 deg, rel. 25.0, (1 1 -2)
30.0 deg, rel. 24.1, (2 0 -2)
43.2 deg, rel. 23.2, (1 1 2)
51.1 deg, rel. 20.8, (2 2 1)

Atomic structure:
a b c (Å): 6.7107 6.2196 6.9877
angles (deg): 90.00 121.11 90.00
Space group P2_1/c (No. 14)
Asymmetric unit:
Li  0.1813  0.1700  0.2841 (multiplicity 4)
La  0.2789  0.6388  0.2380 (multiplicity 4)
O  0.0549  0.5997  0.8178 (multiplicity 4)
O  0.4668  0.1959  0.8572 (multiplicity 4)

***

Starting from a DFT-relaxed cell (PBE, the Materials Project), the X-ray powder pattern of LiLaO2 was computed for Cu Ka.
Kinematic intensities with the Lorentz-polarization factor, no thermal factor.

The 10 most intense peaks (2θ = 5–70°), by intensity:
24.0 deg, rel. 100.0, (1 1 -1)
28.1 deg, rel. 99.7, (1 1 1)
34.6 deg, rel. 85.2, (2 1 -1)
21.0 deg, rel. 64.6, (1 1 0)
32.7 deg, rel. 38.9, (0 2 1)
46.4 deg, rel. 35.7, (1 3 0)
43.1 deg, rel. 32.8, (1 2 -2)
31.1 deg, rel. 32.8, (0 0 2)
55.6 deg, rel. 30.7, (1 2 -3)
31.0 deg, rel. 26.4, (2 0 0)

Atomic structure:
a b c (Å): 5.9269 6.2392 5.8952
angles (deg): 90.00 102.90 90.00
Space group P2_1/c (No. 14)
Asymmetric unit:
Li  0.1549  0.1389  0.1730 (multiplicity 4)
La  0.3000  0.5684  0.1942 (multiplicity 4)
O  0.0718  0.6322  0.7917 (multiplicity 4)
O  0.4129  0.2394  0.9866 (multiplicity 4)

***

Copy entry 7 word for word.
Starting from a DFT-relaxed cell (PBE, the Materials Project), the X-ray powder pattern of LiLaO2 was computed for Cu Ka.
Kinematic intensities with the Lorentz-polarization factor, no thermal factor.

The 10 most intense peaks (2θ = 5–70°), by intensity:
24.0 deg, rel. 100.0, (1 1 -1)
28.1 deg, rel. 99.7, (1 1 1)
34.6 deg, rel. 85.2, (2 1 -1)
21.0 deg, rel. 64.6, (1 1 0)
32.7 deg, rel. 38.9, (0 2 1)
46.4 deg, rel. 35.7, (1 3 0)
43.1 deg, rel. 32.8, (1 2 -2)
31.1 deg, rel. 32.8, (0 0 2)
55.6 deg, rel. 30.7, (1 2 -3)
31.0 deg, rel. 26.4, (2 0 0)

Atomic structure:
a b c (Å): 5.9269 6.2392 5.8952
angles (deg): 90.00 102.90 90.00
Space group P2_1/c (No. 14)
Asymmetric unit:
Li  0.1549  0.1389  0.1730 (multiplicity 4)
La  0.3000  0.5684  0.1942 (multiplicity 4)
O  0.0718  0.6322  0.7917 (multiplicity 4)
O  0.4129  0.2394  0.9866 (multiplicity 4)

***

> Which formula does entry 7 have?

LiLaO2